(1)
Computed powder diffractogram
Compound: Ca3MgPd2
Radiation: Cu Ka
Structure: a crystal structure in Alexandria, relaxed with GGA-PBE

Atomic structure:
```
data_Ca3MgPd2
_chemical_formula_sum 'Ca6 Mg2 Pd4'
_symmetry_space_group_name_H-M 'I m m m'
_symmetry_Int_Tables_number 71
_symmetry_space_group_name_Hall '-I 2 2'
_cell_length_a 4.4088
_cell_length_b 4.4458
_cell_length_c 15.5723
_cell_angle_alpha 90.00
_cell_angle_beta 90.00
_cell_angle_gamma 90.00
loop_
_atom_site_label
_atom_site_fract_x
_atom_site_fract_y
_atom_site_fract_z
Ca1 0.0000 0.0000 0.0000
Ca2 0.0000 0.5000 0.1813
Mg1 0.0000 0.0000 0.5000
Pd1 0.0000 0.5000 0.3765
```

Most intense lines, 2θ from 15° to 90°, low angle first:
| hkl | two_theta | I (rel.) |
| --- | --- | --- |
| 0 1 1 | 20.78 | 45.9 |
| 1 0 1 | 20.94 | 25.0 |
| 0 0 4 | 22.84 | 25.6 |
| 1 1 0 | 28.51 | 61.7 |
| 1 1 2 | 30.78 | 26.5 |
| 0 1 5 | 35.18 | 29.4 |
| 1 0 5 | 35.28 | 38.9 |
| 1 1 4 | 36.84 | 100.0 |
| 0 2 0 | 40.58 | 29.0 |
| 2 0 0 | 40.94 | 28.2 |
| 1 2 5 | 54.85 | 20.5 |
| 2 2 0 | 59.01 | 18.3 |

=====

(2)
Computed powder diffractogram
Compound: Ca3PmMg8
Radiation: Cu Ka
Structure: a crystal structure in Alexandria, relaxed with GGA-PBE

Atomic structure:
```
data_Ca3PmMg8
_chemical_formula_sum 'Ca9 Pm3 Mg24'
_symmetry_space_group_name_H-M 'R 3 m'
_symmetry_Int_Tables_number 160
_symmetry_space_group_name_Hall 'R 3 -2"'
_cell_length_a 6.1917
_cell_length_b 6.1917
_cell_length_c 30.2622
_cell_angle_alpha 90.00
_cell_angle_beta 90.00
_cell_angle_gamma 120.00
loop_
_atom_site_label
_atom_site_fract_x
_atom_site_fract_y
_atom_site_fract_z
Ca1 0.0000 0.0000 0.0000
Ca2 0.0000 0.0000 0.1260
Ca3 0.0000 0.0000 0.6245
Pm1 0.0000 0.0000 0.5007
Mg1 0.0000 0.0000 0.3127
Mg2 0.0000 0.0000 0.8129
Mg3 0.0004 0.5002 0.5619
Mg4 0.0014 0.5007 0.0634
```

Most intense lines, 2θ from 15° to 90°, low angle first:
| hkl | two_theta | I (rel.) |
| --- | --- | --- |
| 1 0 1 | 16.79 | 15.8 |
| 0 1 2 | 17.56 | 24.7 |
| 1 0 4 | 20.30 | 10.1 |
| 1 1 0 | 28.86 | 62.4 |
| 1 0 10 | 33.98 | 100.0 |
| 0 2 4 | 35.54 | 16.8 |
| 3 0 0 | 51.12 | 17.9 |
| 2 1 10 | 54.49 | 30.7 |
| 2 2 0 | 59.74 | 11.3 |
| 0 2 16 | 59.84 | 11.2 |
| 3 1 8 | 67.73 | 9.9 |
| 3 2 10 | 85.13 | 11.3 |

=====

(3)
Computed powder diffractogram
Compound: Ca2PmMg
Radiation: Cu Ka
Structure: a crystal structure in Alexandria, relaxed with GGA-PBE

Atomic structure:
```
data_Ca2PmMg
_chemical_formula_sum 'Ca6 Pm3 Mg3'
_symmetry_space_group_name_H-M 'R 3 m'
_symmetry_Int_Tables_number 160
_symmetry_space_group_name_Hall 'R 3 -2"'
_cell_length_a 3.7160
_cell_length_b 3.7160
_cell_length_c 35.0326
_cell_angle_alpha 90.00
_cell_angle_beta 90.00
_cell_angle_gamma 120.00
loop_
_atom_site_label
_atom_site_fract_x
_atom_site_fract_y
_atom_site_fract_z
Ca1 0.0000 0.0000 0.0000
Ca2 0.0000 0.0000 0.1767
Pm1 0.0000 0.0000 0.4220
Mg1 0.0000 0.0000 0.5881
```

Most intense lines, 2θ from 15° to 90°, low angle first:
| hkl | two_theta | I (rel.) |
| --- | --- | --- |
| 0 0 6 | 15.17 | 18.9 |
| 0 0 9 | 22.85 | 21.1 |
| 1 0 1 | 27.84 | 31.0 |
| 0 1 2 | 28.19 | 29.1 |
| 1 0 4 | 29.57 | 41.1 |
| 0 0 12 | 30.59 | 100.0 |
| 1 0 7 | 33.09 | 50.1 |
| 0 1 8 | 34.59 | 22.1 |
| 1 0 10 | 37.97 | 12.8 |
| 1 1 0 | 49.03 | 24.9 |
| 0 1 17 | 52.75 | 14.7 |
| 1 1 12 | 58.91 | 37.0 |

=====

(4)
Computed powder diffractogram
Compound: Ca2PmMg
Radiation: Cu Ka
Structure: a crystal structure in Alexandria, relaxed with GGA-PBE

Atomic structure:
```
data_Ca2PmMg
_chemical_formula_sum 'Ca2 Pm1 Mg1'
_symmetry_space_group_name_H-M 'P 4/m m m'
_symmetry_Int_Tables_number 123
_symmetry_space_group_name_Hall '-P 4 2'
_cell_length_a 5.0241
_cell_length_b 5.0241
_cell_length_c 5.4527
_cell_angle_alpha 90.00
_cell_angle_beta 90.00
_cell_angle_gamma 90.00
loop_
_atom_site_label
_atom_site_fract_x
_atom_site_fract_y
_atom_site_fract_z
Ca1 0.0000 0.5000 0.0000
Pm1 0.0000 0.0000 0.5000
Mg1 0.5000 0.5000 0.5000
```

Most intense lines, 2θ from 15° to 90°, low angle first:
| hkl | two_theta | I (rel.) |
| --- | --- | --- |
| 0 0 1 | 16.26 | 11.6 |
| 1 0 0 | 17.65 | 39.2 |
| 1 0 1 | 24.09 | 37.9 |
| 1 1 1 | 30.02 | 100.0 |
| 0 0 2 | 32.85 | 19.6 |
| 2 0 0 | 35.74 | 31.0 |
| 1 0 2 | 37.53 | 12.1 |
| 2 1 1 | 43.57 | 15.9 |
| 2 0 2 | 49.33 | 24.1 |
| 1 1 3 | 56.91 | 15.4 |
| 3 1 1 | 60.72 | 25.2 |
| 2 2 2 | 62.40 | 11.6 |

=====

(5)
Computed powder diffractogram
Compound: Ca3PmMg4
Radiation: Cu Ka
Structure: a crystal structure in Alexandria, relaxed with GGA-PBE

Atomic structure:
```
data_Ca3PmMg4
_chemical_formula_sum 'Ca3 Pm1 Mg4'
_symmetry_space_group_name_H-M 'P 4/m m m'
_symmetry_Int_Tables_number 123
_symmetry_space_group_name_Hall '-P 4 2'
_cell_length_a 3.8727
_cell_length_b 3.8727
_cell_length_c 16.3278
_cell_angle_alpha 90.00
_cell_angle_beta 90.00
_cell_angle_gamma 90.00
loop_
_atom_site_label
_atom_site_fract_x
_atom_site_fract_y
_atom_site_fract_z
Ca1 0.0000 0.0000 0.0000
Ca2 0.0000 0.0000 0.2536
Pm1 0.0000 0.0000 0.5000
Mg1 0.5000 0.5000 0.1261
Mg2 0.5000 0.5000 0.3804
```

Most intense lines, 2θ from 15° to 90°, low angle first:
| hkl | two_theta | I (rel.) |
| --- | --- | --- |
| 0 0 4 | 21.77 | 13.6 |
| 1 0 0 | 22.96 | 23.9 |
| 1 0 1 | 23.61 | 16.1 |
| 1 0 2 | 25.46 | 12.6 |
| 1 0 4 | 31.85 | 100.0 |
| 1 1 0 | 32.70 | 46.7 |
| 1 1 4 | 39.63 | 11.1 |
| 0 0 8 | 44.39 | 9.5 |
| 2 0 0 | 46.92 | 16.4 |
| 1 1 8 | 56.21 | 18.3 |
| 2 1 4 | 57.83 | 33.9 |
| 2 0 8 | 66.57 | 10.7 |

=====

(6)
Computed powder diffractogram
Compound: CaPm3Mg6
Radiation: Cu Ka
Structure: a crystal structure in Alexandria, relaxed with GGA-PBE

Atomic structure:
```
data_CaPm3Mg6
_chemical_formula_sum 'Ca2 Pm6 Mg12'
_symmetry_space_group_name_H-M 'P 1 21/m 1'
_symmetry_Int_Tables_number 11
_symmetry_space_group_name_Hall '-P 2yb'
_cell_length_a 9.4093
_cell_length_b 5.4012
_cell_length_c 11.5255
_cell_angle_alpha 90.00
_cell_angle_beta 106.16
_cell_angle_gamma 90.00
loop_
_atom_site_label
_atom_site_fract_x
_atom_site_fract_y
_atom_site_fract_z
Ca1 0.0516 0.2500 0.3950
Pm1 0.2486 0.2500 0.9944
Pm2 0.3539 0.7500 0.7962
Pm3 0.4630 0.2500 0.6069
Mg1 0.0476 0.7500 0.9041
Mg2 0.1447 0.7500 0.1929
Mg3 0.1458 0.2500 0.6987
Mg4 0.2463 0.7500 0.4917
Mg5 0.3364 0.2500 0.2917
Mg6 0.4365 0.7500 0.0982
```

Most intense lines, 2θ from 15° to 90°, low angle first:
| hkl | two_theta | I (rel.) |
| --- | --- | --- |
| 1 1 -2 | 23.21 | 65.9 |
| 2 0 -4 | 32.91 | 27.7 |
| 3 1 -1 | 33.07 | 100.0 |
| 0 2 0 | 33.17 | 25.2 |
| 2 2 1 | 40.90 | 10.1 |
| 2 2 -4 | 47.45 | 28.5 |
| 4 2 -3 | 53.42 | 9.8 |
| 1 3 -2 | 53.57 | 14.2 |
| 5 1 -5 | 58.78 | 10.6 |
| 1 1 -7 | 58.93 | 13.4 |
| 3 3 -1 | 59.16 | 22.5 |
| 1 3 3 | 59.23 | 9.1 |